Entry 1:
Diffraction record for PmVP2O8. The XRD peak list is simulated, not measured: it uses DFT lattice parameters and positions (PBE+U) and Cu Kα (λ = 1.5418 Å).
Lines closer than 0.1° are merged.

Peak list (6 most intense, 5° ≤ 2θ ≤ 70°, low angle first)
Position (°2θ), I_rel
18.06, 22
19.67, 46
25.64, 100
35.33, 53
41.87, 22
51.77, 48

Cell and atoms:
a b c (Å): 6.9474 6.9474 5.9374
angles (deg): 90.00 90.00 90.00
Space group I-4m2 (No. 119)
Unique sites:
1 Pm 0.0000 0.0000 0.0000
2 V 0.0000 0.5000 0.2500
3 P 0.0000 0.0000 0.5000
4 P 0.0000 0.5000 0.7500
5 O 0.0000 0.1798 0.3428
6 O 0.0000 0.3316 0.9218

=====

Entry 2:
Diffraction record for PmVPO5. The XRD peak list is simulated, not measured: it uses DFT lattice parameters and positions (PBE+U) and Cu Kα (λ = 1.5418 Å).
Lines closer than 0.1° are merged.

Peak list (6 most intense, 5° ≤ 2θ ≤ 70°, low angle first)
Position (°2θ), I_rel
17.37, 63
24.80, 100
28.25, 54
30.91, 70
32.49, 26
34.10, 46

Cell and atoms:
a b c (Å): 6.6974 8.6739 8.2350
angles (deg): 90.00 109.39 90.00
Space group C2/c (No. 15)
Unique sites:
1 Pm 0.0000 0.0000 0.0000
2 V 0.0000 0.3362 0.2500
3 P 0.0000 0.3234 0.7500
4 O 0.0000 0.1128 0.2500
5 O 0.1311 0.4353 0.8944
6 O 0.1431 0.2146 0.6851